# 1
The following is a calculated powder X-ray diffraction pattern of Mg2PbAu. It was derived from a crystal structure in Alexandria, relaxed with GGA-PBE, using Cu Kα.
Kinematic intensities with the Lorentz-polarization factor, no thermal factor.

Cell and atoms:
```
data_Mg2PbAu
_chemical_formula_sum 'Mg4 Pb2 Au2'
_cell_length_a 9.139
_cell_length_b 3.523
_cell_length_c 5.797
_cell_angle_alpha 90.00
_cell_angle_beta 104.26
_cell_angle_gamma 90.00
_space_group_name_H-M_alt 'C 1 2/m 1'
_space_group_IT_number 12
loop_
_space_group_symop_operation_xyz
'x,y,z'
'-x,-y,-z'
'-x,y,-z'
'x,-y,z'
'x+1/2,y+1/2,z'
'-x+1/2,-y+1/2,-z'
'-x+1/2,y+1/2,-z'
'x+1/2,-y+1/2,z'
loop_
_atom_site_label
_atom_site_type_symbol
_atom_site_fract_x
_atom_site_fract_y
_atom_site_fract_z
_atom_site_occupancy
Mg1 Mg 0.236 0.000 0.214 1
Pb1 Pb 0.000 0.000 0.500 1
Au1 Au 0.000 0.500 0.000 1
```

Top 10 peaks for 10° ≤ 2θ ≤ 90°, sorted by position:
h k l	2theta	I/Imax
2 0 0	20.05	99
1 1 -1	30.32	74
0 0 2	31.86	34
1 1 1	32.90	100
2 0 -2	33.30	49
3 1 -1	40.05	60
4 0 0	40.75	28
2 0 2	42.12	25
3 1 1	45.98	25
1 1 -3	54.16	24

***

# 2
The following is a calculated powder X-ray diffraction pattern of CeEr3Tl4Te8. It was derived from a crystal structure in Alexandria, relaxed with GGA-PBE, using Cu Kα.
Kinematic intensities with the Lorentz-polarization factor, no thermal factor.

Cell and atoms:
```
data_CeEr3Tl4Te8
_chemical_formula_sum 'Ce3 Er9 Tl12 Te24'
_cell_length_a 8.9350
_cell_length_b 8.9350
_cell_length_c 24.5770
_cell_angle_alpha 90.00
_cell_angle_beta 90.00
_cell_angle_gamma 120.00
_space_group_name_H-M_alt 'R -3 m'
_space_group_IT_number 166
_space_group_name_Hall '-R 3 2"'
loop_
_atom_site_label
_atom_site_type_symbol
_atom_site_fract_x
_atom_site_fract_y
_atom_site_fract_z
_atom_site_occupancy
Ce1 Ce 0.0000 0.0000 0.0000 1
Er1 Er 0.0000 0.5000 0.0000 1
Tl1 Tl 0.0000 0.0000 0.5000 1
Tl2 Tl 0.0000 0.5000 0.5000 1
Te1 Te 0.0000 0.0000 0.2633 1
Te2 Te 0.0093 0.5046 0.2620 1
```

Top 10 peaks for 10° ≤ 2θ ≤ 90°, sorted by position:
h k l	2theta	I/Imax
0 2 4	27.24	100
2 0 8	37.38	39
2 2 0	40.38	36
0 0 12	44.22	7
4 0 4	49.39	20
0 4 8	56.19	12
2 2 12	61.42	15
2 4 4	65.63	17
4 2 8	71.44	13
6 0 0	73.42	6